For MgCuC2S2O6F6, a crystal structure in the Materials Project, relaxed with PBE gives the theoretical powder diffractogram in this record (Cu Kα (weighted mean of Kα1 and Kα2)).
Kinematic intensities with the Lorentz-polarization factor, no thermal factor.

Largest 10 diffraction maxima, in order of rising 2θ, 2θ = 10–90°:
21.05°, I = 1000; 22.34°, I = 755; 22.74°, I = 741; 30.62°, I = 301; 32.06°, I = 193; 32.49°, I = 173; 36.42°, I = 216; 37.93°, I = 195; 38.70°, I = 268; 39.99°, I = 156

```
data_MgCuC2S2O6F6
_cell_length_a 5.0274
_cell_length_b 5.2676
_cell_length_c 12.3380
_cell_angle_alpha 80.51
_cell_angle_beta 78.83
_cell_angle_gamma 62.46
_space_group_name_H-M_alt 'P 1'
_space_group_IT_number 1
_space_group_name_Hall 'P 1'
loop_
_atom_site_label
_atom_site_fract_x
_atom_site_fract_y
_atom_site_fract_z
Mg1 0.0000 0.0000 0.0000
Cu1 0.5000 0.5000 0.5000
C1 0.2497 0.2928 0.2111
C2 0.7503 0.7072 0.7889
S1 0.1963 0.2279 0.3666
S2 0.8037 0.7721 0.6334
O1 0.1032 0.5376 0.6036
O2 0.2208 0.9399 0.3836
O3 0.4486 0.2589 0.3954
O4 0.5514 0.7411 0.6046
O5 0.7792 0.0601 0.6164
O6 0.8968 0.4624 0.3964
F1 0.0013 0.6598 0.8326
F2 0.3077 0.5232 0.1755
F3 0.4870 0.0589 0.1643
F4 0.5130 0.9411 0.8357
F5 0.6923 0.4768 0.8245
F6 0.9987 0.3402 0.1674
```